Entry 1:
The following is a computed powder diffractogram of MgV6O15. It was derived from a cell relaxed with GGA+U, using Cu Kα (λ = 1.5418 Å).

Structural model:
Cell: 8.655 8.655 10.387 Å, 109.86 109.86 24.54°
Element x y z (fractional)
Mg1 0.000 0.000 0.000
V1 0.185 0.185 0.018
V2 0.224 0.224 0.697
V3 0.368 0.368 0.000
V4 0.643 0.643 0.228
V5 0.802 0.802 0.535
V6 0.853 0.853 0.237
O1 0.085 0.085 0.910
O2 0.124 0.124 0.636
O3 0.160 0.160 0.194
O4 0.251 0.251 0.887
O5 0.272 0.272 0.546
O6 0.335 0.335 0.177
O7 0.416 0.416 0.883
O8 0.537 0.537 0.114
O9 0.642 0.642 0.385
O10 0.713 0.713 0.079
O11 0.758 0.758 0.690
O12 0.788 0.788 0.348
O13 0.889 0.889 0.061
O14 0.903 0.903 0.606
O15 0.946 0.946 0.350

Most intense lines, 2θ = 10–90°, by intensity:
| 2theta | Rel. int. |
| --- | --- |
| 11.16 | 100 |
| 25.81 | 46 |
| 38.26 | 21 |
| 27.07 | 20 |
| 49.56 | 20 |
| 28.86 | 19 |
| 27.18 | 16 |
| 18.22 | 14 |
| 59.77 | 13 |
| 31.61 | 12 |

Entry 2:
The following is a computed powder diffractogram of MgV5O12. It was derived from a cell relaxed with GGA+U, using Cu Kα (λ = 1.5418 Å).

Structural model:
Cell: 5.885 6.792 6.886 Å, 84.76 74.49 75.13°
Element x y z (fractional)
Mg1 0.000 0.000 0.000
V1 0.484 0.835 0.168
V2 0.498 0.308 0.286
V3 0.505 0.705 0.690
V4 0.993 0.125 0.482
V5 0.995 0.530 0.872
O1 0.013 0.303 0.989
O2 0.142 0.961 0.257
O3 0.215 0.290 0.438
O4 0.295 0.546 0.733
O5 0.400 0.877 0.882
O6 0.471 0.544 0.167
O7 0.529 0.815 0.459
O8 0.610 0.100 0.124
O9 0.702 0.280 0.439
O10 0.798 0.553 0.708
O11 0.870 0.725 0.042
O12 0.991 0.995 0.703

Most intense lines, 2θ = 10–90°, by intensity:
| 2theta | Rel. int. |
| --- | --- |
| 19.26 | 100 |
| 28.09 | 88 |
| 27.66 | 87 |
| 32.55 | 77 |
| 30.09 | 59 |
| 29.89 | 56 |
| 18.36 | 47 |
| 18.15 | 46 |
| 18.79 | 43 |
| 23.48 | 42 |

Entry 3:
The following is a computed powder diffractogram of Mg2V9O13. It was derived from a cell relaxed with GGA+U, using Cu Kα (λ = 1.5418 Å).

Structural model:
Cell: 5.305 5.305 17.299 Å, 98.86 98.86 32.21°
Element x y z (fractional)
Mg1 0.213 0.213 0.230
Mg2 0.787 0.787 0.770
V1 0.011 0.011 0.670
V2 0.068 0.068 0.872
V3 0.251 0.251 0.584
V4 0.354 0.354 0.957
V5 0.500 0.500 0.500
V6 0.646 0.646 0.043
V7 0.749 0.749 0.416
V8 0.932 0.932 0.128
V9 0.989 0.989 0.330
O1 0.000 0.000 0.000
O2 0.128 0.128 0.462
O3 0.148 0.148 0.771
O4 0.297 0.297 0.073
O5 0.378 0.378 0.691
O6 0.383 0.383 0.386
O7 0.424 0.424 0.850
O8 0.576 0.576 0.150
O9 0.617 0.617 0.614
O10 0.622 0.622 0.309
O11 0.703 0.703 0.927
O12 0.852 0.852 0.229
O13 0.872 0.872 0.538

Most intense lines, 2θ = 10–90°, by intensity:
| 2theta | Rel. int. |
| --- | --- |
| 33.60 | 100 |
| 34.01 | 90 |
| 42.24 | 79 |
| 10.36 | 73 |
| 43.32 | 63 |
| 44.07 | 52 |
| 41.72 | 46 |
| 35.22 | 42 |
| 63.19 | 38 |
| 38.77 | 35 |

Entry 4:
The following is a computed powder diffractogram of MgVO2. It was derived from a cell relaxed with GGA+U, using Cu Kα (λ = 1.5418 Å).

Structural model:
Cell: 8.024 8.024 11.190 Å, 130.84 130.84 20.93°
Element x y z (fractional)
Mg1 0.085 0.085 0.422
Mg2 0.341 0.341 0.256
Mg3 0.659 0.659 0.744
Mg4 0.915 0.915 0.578
V1 0.158 0.158 0.234
V2 0.432 0.432 0.093
V3 0.568 0.568 0.907
V4 0.842 0.842 0.766
O1 0.079 0.079 0.773
O2 0.175 0.175 0.071
O3 0.208 0.208 0.657
O4 0.393 0.393 0.688
O5 0.607 0.607 0.312
O6 0.792 0.792 0.343
O7 0.825 0.825 0.929
O8 0.921 0.921 0.227

Most intense lines, 2θ = 10–90°, by intensity:
| 2theta | Rel. int. |
| --- | --- |
| 42.80 | 100 |
| 35.07 | 79 |
| 21.26 | 67 |
| 59.58 | 52 |
| 39.25 | 49 |
| 30.34 | 49 |
| 10.59 | 49 |
| 11.23 | 46 |
| 22.57 | 45 |
| 51.54 | 42 |

Entry 5:
The following is a computed powder diffractogram of MgV2O6. It was derived from a cell relaxed with GGA+U, using Cu Kα (λ = 1.5418 Å).

Structural model:
Cell: 5.224 5.648 5.648 Å, 57.83 90.00 90.00°
Element x y z (fractional)
Mg1 0.000 0.000 0.000
V1 0.000 0.370 0.370
V2 0.500 0.491 0.491
O1 0.000 0.201 0.201
O2 0.241 0.209 0.659
O3 0.241 0.659 0.209
O4 0.500 0.654 0.654
O5 0.759 0.209 0.659
O6 0.759 0.659 0.209

Most intense lines, 2θ = 10–90°, by intensity:
| 2theta | Rel. int. |
| --- | --- |
| 17.94 | 100 |
| 18.56 | 84 |
| 25.25 | 75 |
| 48.21 | 36 |
| 36.18 | 28 |
| 52.22 | 23 |
| 24.79 | 21 |
| 51.85 | 18 |
| 39.30 | 13 |
| 32.80 | 12 |

Entry 6:
The following is a computed powder diffractogram of Mg2VO4. It was derived from a cell relaxed with GGA+U, using Cu Kα (λ = 1.5418 Å).

Structural model:
Cell: 5.996 5.996 5.996 Å, 120.75 120.75 88.70°
Element x y z (fractional)
Mg1 0.000 0.000 0.000
Mg2 0.000 0.000 0.500
Mg3 0.000 0.500 0.000
Mg4 0.500 0.000 0.500
V1 0.375 0.625 0.750
V2 0.625 0.375 0.250
O1 0.245 0.246 0.501
O2 0.245 0.744 0.999
O3 0.246 0.245 0.001
O4 0.256 0.755 0.501
O5 0.744 0.245 0.499
O6 0.754 0.755 0.999
O7 0.755 0.256 0.001
O8 0.755 0.754 0.499

Most intense lines, 2θ = 10–90°, by intensity:
| 2theta | Rel. int. |
| --- | --- |
| 35.44 | 100 |
| 61.91 | 55 |
| 29.81 | 53 |
| 34.84 | 45 |
| 62.69 | 26 |
| 30.15 | 25 |
| 57.03 | 22 |
| 53.33 | 18 |
| 43.16 | 15 |
| 55.80 | 14 |